Simulated X-ray diffraction stick pattern
Compound: HoMn4
Radiation: Cu Ka
Structure: a PBE-relaxed structure
Kinematic intensities with the Lorentz-polarization factor, no thermal factor.

Cell and atoms:
```
HoMn4
1.0
4.835 0.000 0.000
0.000 4.835 0.000
0.000 0.000 4.835
Ho Mn
1 4
Direct
0.000 0.000 0.000
0.000 0.000 0.500
0.000 0.500 0.000
0.500 0.000 0.000
0.500 0.500 0.500
```

Main lines, in order of rising 2θ (2θ from 15° to 90°):
two_theta, Rel. int.
18.3, 100
26.1, 86
37.2, 96
41.8, 49
46.0, 38
53.6, 64
57.2, 25
60.6, 17
67.1, 21
70.2, 11
73.2, 19
82.2, 14